The following is a theoretical powder diffractogram of Ho6ReN8. It was derived from a crystal structure in Alexandria, relaxed with PBE, using Cu Ka.

Structure:
Cell lengths 6.2523, 6.2523, 6.2523 Å; angles 68.38, 68.38, 68.38 degrees
Element x y z (fractional)
Ho1 0.0174 0.4438 0.7873
Ho2 0.2127 0.9826 0.5562
Ho3 0.4438 0.7873 0.0174
Ho4 0.5562 0.2127 0.9826
Ho5 0.7873 0.0174 0.4438
Ho6 0.9826 0.5562 0.2127
Re1 0.5000 0.5000 0.5000
N1 0.1694 0.1694 0.1694
N2 0.1795 0.6646 0.3997
N3 0.3354 0.6003 0.8205
N4 0.3997 0.1795 0.6646
N5 0.6003 0.8205 0.3354
N6 0.6646 0.3997 0.1795
N7 0.8205 0.3354 0.6003
N8 0.8306 0.8306 0.8306

Top 6 peaks for 2θ = 15–90°, by angle:
2theta, intensity
30.03, 21.0
31.66, 100.0
39.69, 18.6
44.68, 27.9
46.08, 30.1
60.70, 19.8

The following is a theoretical powder diffractogram of SrHo2ReN4. It was derived from a crystal structure in Alexandria, relaxed with PBE, using Cu Ka.

Structure:
Cell lengths 6.2745, 6.2745, 12.1401 Å; angles 90.00, 90.00, 148.20 degrees
Element x y z (fractional)
Sr1 0.0655 0.9345 0.7500
Sr2 0.9345 0.0655 0.2500
Ho1 0.3715 0.6285 0.5409
Ho2 0.3715 0.6285 0.9591
Ho3 0.6285 0.3715 0.0409
Ho4 0.6285 0.3715 0.4591
Re1 0.1930 0.8070 0.2500
Re2 0.8070 0.1930 0.7500
N1 0.0000 0.0000 0.0000
N2 0.0000 0.0000 0.5000
N3 0.2590 0.7410 0.1098
N4 0.2590 0.7410 0.3902
N5 0.3981 0.6019 0.7500
N6 0.6019 0.3981 0.2500
N7 0.7410 0.2590 0.6098
N8 0.7410 0.2590 0.8902

Top 6 peaks for 2θ = 15–90°, by angle:
2theta, intensity
16.40, 51.5
29.43, 55.0
30.53, 36.0
30.79, 100.0
35.08, 97.2
37.46, 74.7

The following is a theoretical powder diffractogram of Ho2ReTcN6. It was derived from a crystal structure in Alexandria, relaxed with PBE, using Cu Ka.

Structure:
Cell lengths 5.3526, 5.6169, 9.3962 Å; angles 90.00, 124.70, 90.00 degrees
Element x y z (fractional)
Ho1 0.2387 0.0677 0.2501
Ho2 0.2387 0.4323 0.7501
Ho3 0.7613 0.5677 0.2499
Ho4 0.7613 0.9323 0.7499
Re1 0.5000 0.0000 0.0000
Re2 0.5000 0.5000 0.5000
Tc1 0.0000 0.0000 0.5000
Tc2 0.0000 0.5000 0.0000
N1 0.1508 0.1979 0.9544
N2 0.1508 0.3021 0.4544
N3 0.2601 0.7005 0.9541
N4 0.2601 0.7995 0.4541
N5 0.3396 0.0210 0.7513
N6 0.3396 0.4790 0.2513
N7 0.6604 0.5210 0.7487
N8 0.6604 0.9790 0.2487
N9 0.7399 0.2005 0.5459
N10 0.7399 0.2995 0.0459
N11 0.8492 0.6979 0.5456
N12 0.8492 0.8021 0.0456

Top 6 peaks for 2θ = 15–90°, by angle:
2theta, intensity
31.86, 20.4
32.74, 100.0
33.48, 25.7
46.89, 17.4
47.06, 12.8
59.39, 20.6

The following is a theoretical powder diffractogram of Ho4Rh2N. It was derived from a crystal structure in Alexandria, relaxed with PBE, using Cu Ka.

Structure:
Cell lengths 7.9190, 7.9190, 7.9190 Å; angles 146.46, 146.46, 48.16 degrees
Element x y z (fractional)
Ho1 0.0000 0.5000 0.5000
Ho2 0.1757 0.1757 0.0000
Ho3 0.5000 0.0000 0.5000
Ho4 0.8243 0.8243 0.0000
Rh1 0.3651 0.3651 0.0000
Rh2 0.6349 0.6349 0.0000
N1 0.0000 0.0000 0.0000

Top 6 peaks for 2θ = 15–90°, by angle:
2theta, intensity
30.30, 97.1
36.78, 24.4
37.32, 100.0
39.44, 65.0
55.42, 32.9
70.13, 39.6

The following is a theoretical powder diffractogram of SrHo2RuN4. It was derived from a crystal structure in Alexandria, relaxed with PBE, using Cu Ka.

Structure:
Cell lengths 6.1916, 6.1916, 11.7533 Å; angles 90.00, 90.00, 147.50 degrees
Element x y z (fractional)
Sr1 0.1089 0.8911 0.7500
Sr2 0.8911 0.1089 0.2500
Ho1 0.3688 0.6312 0.5374
Ho2 0.3688 0.6312 0.9626
Ho3 0.6312 0.3688 0.0374
Ho4 0.6312 0.3688 0.4626
Ru1 0.1569 0.8431 0.2500
Ru2 0.8431 0.1569 0.7500
N1 0.0000 0.0000 0.0000
N2 0.0000 0.0000 0.5000
N3 0.2578 0.7422 0.1186
N4 0.2578 0.7422 0.3814
N5 0.4199 0.5801 0.7500
N6 0.5801 0.4199 0.2500
N7 0.7422 0.2578 0.6186
N8 0.7422 0.2578 0.8814

Top 6 peaks for 2θ = 15–90°, by angle:
2theta, intensity
30.07, 58.7
30.42, 43.8
30.89, 100.0
37.73, 98.2
43.30, 29.1
61.96, 28.0

The following is a theoretical powder diffractogram of TbHo2RuN4. It was derived from a crystal structure in Alexandria, relaxed with PBE, using Cu Ka.

Structure:
Cell lengths 6.0080, 6.0080, 11.5776 Å; angles 90.00, 90.00, 147.33 degrees
Element x y z (fractional)
Tb1 0.1286 0.8714 0.7500
Tb2 0.8714 0.1286 0.2500
Ho1 0.3688 0.6312 0.5420
Ho2 0.3688 0.6312 0.9580
Ho3 0.6312 0.3688 0.0420
Ho4 0.6312 0.3688 0.4580
Ru1 0.1359 0.8641 0.2500
Ru2 0.8641 0.1359 0.7500
N1 0.0000 0.0000 0.0000
N2 0.0000 0.0000 0.5000
N3 0.2679 0.7321 0.1298
N4 0.2679 0.7321 0.3702
N5 0.4510 0.5490 0.7500
N6 0.5490 0.4510 0.2500
N7 0.7321 0.2679 0.6298
N8 0.7321 0.2679 0.8702

Top 6 peaks for 2θ = 15–90°, by angle:
2theta, intensity
27.82, 44.6
30.89, 40.9
31.02, 64.7
31.62, 100.0
38.74, 99.5
44.35, 30.1

The following is a theoretical powder diffractogram of YHo2RuN4. It was derived from a crystal structure in Alexandria, relaxed with PBE, using Cu Ka.

Structure:
Cell lengths 6.0043, 6.0043, 11.5822 Å; angles 90.00, 90.00, 147.34 degrees
Element x y z (fractional)
Y1 0.1296 0.8704 0.7500
Y2 0.8704 0.1296 0.2500
Ho1 0.3688 0.6312 0.5419
Ho2 0.3688 0.6312 0.9581
Ho3 0.6312 0.3688 0.0419
Ho4 0.6312 0.3688 0.4581
Ru1 0.1351 0.8649 0.2500
Ru2 0.8649 0.1351 0.7500
N1 0.0000 0.0000 0.0000
N2 0.0000 0.0000 0.5000
N3 0.2676 0.7324 0.1298
N4 0.2676 0.7324 0.3702
N5 0.4517 0.5483 0.7500
N6 0.5483 0.4517 0.2500
N7 0.7324 0.2676 0.6298
N8 0.7324 0.2676 0.8702

Top 6 peaks for 2θ = 15–90°, by angle:
2theta, intensity
27.82, 32.6
30.88, 37.3
31.04, 63.4
31.64, 95.5
38.76, 100.0
42.04, 29.0

The following is a theoretical powder diffractogram of Ho3SN2. It was derived from a crystal structure in Alexandria, relaxed with PBE, using Cu Ka.

Structure:
Cell lengths 7.9934, 7.9934, 7.9934 Å; angles 153.70, 153.70, 37.54 degrees
Element x y z (fractional)
Ho1 0.0000 0.0000 0.0000
Ho2 0.3226 0.3226 0.0000
Ho3 0.6774 0.6774 0.0000
S1 0.5000 0.5000 0.0000
N1 0.1694 0.1694 0.0000
N2 0.8306 0.8306 0.0000

Top 6 peaks for 2θ = 15–90°, by angle:
2theta, intensity
30.29, 100.0
34.88, 59.1
35.59, 25.3
50.16, 20.7
50.69, 36.4
59.73, 31.1

Question: What is the formula in the first record?
Answer: Ho6ReN8